No. 1
Computed powder diffraction line list
Compound: ZrScTa
Radiation: Cu Kα (λ = 1.5418 Å)
Structure: a cell relaxed with PBE
Kinematic intensities with the Lorentz-polarization factor, no thermal factor.

Largest 12 diffraction maxima, low angle first, 10° ≤ 2θ ≤ 80°:
14.51°, intensity 22, (0 0 1); 20.94°, intensity 33, (1 0 0); 29.26°, intensity 31, (0 0 2); 36.26°, intensity 67, (1 0 2); 36.69°, intensity 100, (1 1 0); 39.65°, intensity 12, (1 1 1); 47.60°, intensity 50, (1 1 2); 52.54°, intensity 23, (2 0 2); 65.78°, intensity 23, (2 1 2); 66.06°, intensity 17, (3 0 0); 73.05°, intensity 26, (1 1 4); 73.85°, intensity 14, (3 0 2)

Structural model:
Lattice parameters (Å, degrees): 4.8992 4.8992 6.1039 90.00 90.00 120.00
Space group P6/mmm (No. 191)
Asymmetric unit:
Zr 0.3333 0.6667 0.0000 [2 per cell]
Sc 0.0000 0.0000 0.2553 [2 per cell]
Ta 0.3333 0.6667 0.5000 [2 per cell]



No. 2
Computed powder diffraction line list
Compound: ZrScTa
Radiation: Cu Kα (λ = 1.5418 Å)
Structure: a cell relaxed with PBE
Kinematic intensities with the Lorentz-polarization factor, no thermal factor.

Largest 12 diffraction maxima, low angle first, 10° ≤ 2θ ≤ 80°:
32.27°, intensity 27, (1 0 5); 36.46°, intensity 100, (1 0 7); 39.00°, intensity 45, (1 1 0); 39.62°, intensity 22, (1 1 2); 41.48°, intensity 26, (1 0 9); 48.50°, intensity 9, (0 0 14); 56.34°, intensity 15, (2 0 0); 56.81°, intensity 8, (2 0 2); 63.91°, intensity 15, (1 1 14); 68.99°, intensity 30, (2 1 7); 72.33°, intensity 9, (2 1 9); 77.47°, intensity 9, (2 0 14)

Structural model:
Lattice parameters (Å, degrees): 3.266 3.266 26.279 90.00 90.00 90.00
Space group I4/mmm (No. 139)
Asymmetric unit:
Zr 0.000 0.000 0.146 [4 per cell]
Sc 0.000 0.000 0.437 [4 per cell]
Ta 0.000 0.000 0.279 [4 per cell]